Starting from a crystal structure in Alexandria, relaxed with PBE, the powder XRD pattern of Rb2Au2Cl7 was computed for Cu Kα, 1.54184 Å.

Peak list (12 most intense, 2θ from 5° to 70°, most intense first)
24.0 deg, 3.707 Å, I 100, (1 1 1)
11.4 deg, 7.773 Å, I 71, (0 2 0)
21.7 deg, 4.092 Å, I 52, (2 0 -1)
37.3 deg, 2.412 Å, I 44, (1 5 1)
22.4 deg, 3.966 Å, I 43, (2 2 0)
39.1 deg, 2.307 Å, I 33, (4 2 -1)
21.5 deg, 4.127 Å, I 27, (0 2 1)
34.6 deg, 2.591 Å, I 25, (0 6 0)
22.9 deg, 3.886 Å, I 25, (0 4 0)
18.5 deg, 4.805 Å, I 24, (1 1 -1)
41.3 deg, 2.188 Å, I 21, (2 6 -1)
24.6 deg, 3.618 Å, I 21, (1 3 -1)

Structure:
Cell lengths 9.773, 15.545, 5.161 Å; angles 90.00, 109.31, 90.00 degrees
Space group C2/m (No. 12)
Symmetry-distinct sites (fractional):
Rb: 0.000 0.195 0.000 (multiplicity 4)
Au: 0.211 0.500 0.337 (multiplicity 4)
Cl: 0.000 0.500 0.500 (multiplicity 2)
Cl: 0.108 0.000 0.882 (multiplicity 4)
Cl: 0.224 0.349 0.359 (multiplicity 8)

=====

Starting from a crystal structure in Alexandria, relaxed with PBE, the powder XRD pattern of Rb12Au5Cl was computed for Cu Kα, 1.54184 Å.

Peak list (12 most intense, 2θ from 5° to 70°, most intense first)
10.6 deg, 8.332 Å, I 100, (0 0 2)
26.1 deg, 3.412 Å, I 78, (1 3 -3)
36.9 deg, 2.434 Å, I 55, (3 3 -1)
34.0 deg, 2.640 Å, I 48, (1 3 -5)
23.2 deg, 3.836 Å, I 47, (1 3 2)
21.2 deg, 4.185 Å, I 27, (1 3 1)
23.6 deg, 3.773 Å, I 27, (2 0 -2)
35.7 deg, 2.515 Å, I 21, (0 6 0)
30.2 deg, 2.961 Å, I 18, (2 0 4)
30.0 deg, 2.976 Å, I 16, (2 0 -4)
43.5 deg, 2.083 Å, I 16, (0 0 8)
21.7 deg, 4.104 Å, I 14, (2 0 -1)

Structure:
Cell lengths 8.463, 15.089, 16.663 Å; angles 90.00, 90.28, 90.00 degrees
Space group C2/m (No. 12)
Symmetry-distinct sites (fractional):
Rb: 0.156 0.160 0.384 (multiplicity 8)
Rb: 0.163 0.000 0.118 (multiplicity 4)
Rb: 0.164 0.334 0.121 (multiplicity 8)
Rb: 0.176 0.500 0.384 (multiplicity 4)
Au: 0.000 0.168 0.000 (multiplicity 4)
Au: 0.000 0.333 0.500 (multiplicity 4)
Au: 0.000 0.500 0.000 (multiplicity 2)
Cl: 0.000 0.000 0.500 (multiplicity 2)

=====

Starting from a crystal structure in Alexandria, relaxed with PBE, the powder XRD pattern of Rb2AuCl was computed for Cu Kα, 1.54184 Å.

Peak list (12 most intense, 2θ from 5° to 70°, most intense first)
28.0 deg, 3.186 Å, I 100, (0 1 5)
22.9 deg, 3.890 Å, I 98, (0 1 2)
33.0 deg, 2.716 Å, I 74, (1 0 7)
38.2 deg, 2.359 Å, I 57, (1 1 0)
10.4 deg, 8.483 Å, I 48, (0 0 3)
58.5 deg, 1.577 Å, I 31, (1 1 12)
48.0 deg, 1.896 Å, I 23, (2 0 5)
51.3 deg, 1.781 Å, I 21, (0 2 7)
65.7 deg, 1.421 Å, I 20, (2 1 7)
62.9 deg, 1.478 Å, I 20, (1 2 5)
45.0 deg, 2.017 Å, I 19, (2 0 2)
60.4 deg, 1.533 Å, I 15, (1 2 2)

Structure:
Cell lengths 4.7177, 4.7177, 25.4477 Å; angles 90.00, 90.00, 120.00 degrees
Space group R3m (No. 160, hexagonal axes)
Symmetry-distinct sites (fractional):
Rb: 0.0000 0.0000 0.0000 (multiplicity 3)
Rb: 0.0000 0.0000 0.1584 (multiplicity 3)
Au: 0.0000 0.0000 0.5796 (multiplicity 3)
Cl: 0.0000 0.0000 0.4121 (multiplicity 3)

=====

Starting from a crystal structure in Alexandria, relaxed with PBE, the powder XRD pattern of Rb2AuCl3 was computed for Cu Kα, 1.54184 Å.

Peak list (12 most intense, 2θ from 5° to 70°, most intense first)
24.3 deg, 3.667 Å, I 100, (1 1 0)
11.3 deg, 7.843 Å, I 52, (0 0 2)
25.9 deg, 3.434 Å, I 50, (1 0 3)
28.9 deg, 3.094 Å, I 45, (0 2 0)
22.3 deg, 3.994 Å, I 41, (0 1 3)
39.2 deg, 2.298 Å, I 34, (1 2 3)
42.5 deg, 2.129 Å, I 26, (1 1 6)
20.3 deg, 4.373 Å, I 26, (1 0 1)
34.7 deg, 2.583 Å, I 20, (1 0 5)
49.7 deg, 1.834 Å, I 19, (2 2 0)
39.6 deg, 2.277 Å, I 19, (2 0 0)
45.8 deg, 1.983 Å, I 18, (1 2 5)

Structure:
Cell lengths 4.553, 6.187, 15.686 Å; angles 90.00, 90.00, 90.00 degrees
Space group Immm (No. 71)
Symmetry-distinct sites (fractional):
Rb: 0.000 0.000 0.139 (multiplicity 4)
Au: 0.000 0.000 0.500 (multiplicity 2)
Cl: 0.000 0.000 0.350 (multiplicity 4)
Cl: 0.000 0.500 0.500 (multiplicity 2)

=====

Starting from a crystal structure in Alexandria, relaxed with PBE, the powder XRD pattern of Rb3Au3Cl8 was computed for Cu Kα, 1.54184 Å.

Peak list (12 most intense, 2θ from 5° to 70°, most intense first)
32.4 deg, 2.763 Å, I 100, (2 2 -4)
16.0 deg, 5.526 Å, I 80, (1 1 -2)
24.4 deg, 3.648 Å, I 72, (1 1 4)
24.8 deg, 3.590 Å, I 60, (3 1 0)
22.9 deg, 3.877 Å, I 54, (0 2 0)
22.6 deg, 3.938 Å, I 54, (2 0 -4)
41.2 deg, 2.190 Å, I 30, (1 3 4)
33.4 deg, 2.683 Å, I 27, (3 1 4)
17.2 deg, 5.162 Å, I 25, (1 1 2)
32.2 deg, 2.777 Å, I 24, (4 0 2)
40.5 deg, 2.227 Å, I 20, (1 1 -8)
38.8 deg, 2.319 Å, I 19, (5 1 0)

Structure:
Cell lengths 12.261, 7.755, 18.629 Å; angles 90.00, 97.71, 90.00 degrees
Space group C2/c (No. 15)
Symmetry-distinct sites (fractional):
Rb: 0.000 0.010 0.250 (multiplicity 4)
Rb: 0.182 0.489 0.082 (multiplicity 8)
Au: 0.000 0.000 0.000 (multiplicity 4)
Au: 0.113 0.496 0.309 (multiplicity 8)
Cl: 0.036 0.295 0.876 (multiplicity 8)
Cl: 0.066 0.215 0.427 (multiplicity 8)
Cl: 0.177 0.030 0.064 (multiplicity 8)
Cl: 0.204 0.295 0.248 (multiplicity 8)

=====

Starting from a crystal structure in Alexandria, relaxed with PBE, the powder XRD pattern of Rb4AuCl3 was computed for Cu Kα, 1.54184 Å.

Peak list (12 most intense, 2θ from 5° to 70°, most intense first)
26.2 deg, 3.402 Å, I 100, (2 0 1)
37.4 deg, 2.406 Å, I 51, (2 4 1)
60.9 deg, 1.522 Å, I 23, (2 8 1)
11.2 deg, 7.883 Å, I 19, (1 1 0)
21.7 deg, 4.096 Å, I 19, (1 1 1)
46.1 deg, 1.971 Å, I 14, (4 4 0)
46.4 deg, 1.957 Å, I 14, (0 4 2)
37.2 deg, 2.418 Å, I 13, (4 0 0)
53.9 deg, 1.701 Å, I 13, (0 8 0)
37.6 deg, 2.393 Å, I 13, (0 0 2)
13.0 deg, 6.806 Å, I 9, (0 2 0)
28.6 deg, 3.117 Å, I 9, (1 3 1)

Structure:
Cell lengths 9.670, 13.612, 4.785 Å; angles 90.00, 90.00, 90.00 degrees
Space group Cmmm (No. 65)
Symmetry-distinct sites (fractional):
Rb: 0.000 0.245 0.000 (multiplicity 4)
Rb: 0.239 0.000 0.500 (multiplicity 4)
Au: 0.000 0.500 0.000 (multiplicity 2)
Cl: 0.000 0.000 0.000 (multiplicity 2)
Cl: 0.250 0.250 0.500 (multiplicity 4)

=====

Starting from a crystal structure in Alexandria, relaxed with PBE, the powder XRD pattern of Rb12Au6Cl was computed for Cu Kα, 1.54184 Å.

Peak list (12 most intense, 2θ from 5° to 70°, most intense first)
30.7 deg, 2.909 Å, I 100, (3 -1 4)
18.7 deg, 4.751 Å, I 91, (3 -1 1)
36.2 deg, 2.481 Å, I 40, (1 2 5)
27.2 deg, 3.282 Å, I 25, (4 -1 2)
11.5 deg, 7.693 Å, I 21, (1 1 0)
24.9 deg, 3.578 Å, I 15, (4 -3 1)
25.9 deg, 3.446 Å, I 14, (1 0 4)
31.8 deg, 2.810 Å, I 14, (2 3 2)
35.0 deg, 2.566 Å, I 13, (4 -3 4)
54.6 deg, 1.680 Å, I 13, (3 -2 8)
27.5 deg, 3.245 Å, I 12, (4 0 1)
22.0 deg, 4.045 Å, I 12, (1 1 3)

Structure:
Cell lengths 15.3869, 15.3869, 14.2672 Å; angles 90.00, 90.00, 120.00 degrees
Space group R-3 (No. 148, hexagonal axes)
Symmetry-distinct sites (fractional):
Rb: 0.0325 0.8192 0.3952 (multiplicity 18)
Rb: 0.0475 0.8437 0.8839 (multiplicity 18)
Au: 0.0525 0.7760 0.6492 (multiplicity 18)
Cl: 0.0000 0.0000 0.0000 (multiplicity 3)

=====

Starting from a crystal structure in Alexandria, relaxed with PBE, the powder XRD pattern of Rb4Au3Cl was computed for Cu Kα, 1.54184 Å.

Peak list (12 most intense, 2θ from 5° to 70°, most intense first)
25.4 deg, 3.501 Å, I 100, (1 2 1)
36.2 deg, 2.484 Å, I 40, (0 4 0)
36.4 deg, 2.468 Å, I 39, (2 0 2)
44.7 deg, 2.026 Å, I 22, (4 0 0)
58.8 deg, 1.570 Å, I 19, (1 6 1)
59.2 deg, 1.562 Å, I 19, (3 2 3)
65.2 deg, 1.431 Å, I 14, (1 6 -3)
52.3 deg, 1.751 Å, I 14, (2 4 2)
21.9 deg, 4.052 Å, I 12, (2 0 0)
45.1 deg, 2.008 Å, I 7, (0 0 4)
65.7 deg, 1.422 Å, I 7, (1 2 5)
65.0 deg, 1.434 Å, I 7, (3 6 -1)

Structure:
Cell lengths 8.598, 9.942, 8.530 Å; angles 90.00, 109.65, 90.00 degrees
Space group P2/c (No. 13)
Symmetry-distinct sites (fractional):
Rb: 0.236 0.118 0.003 (multiplicity 4)
Rb: 0.244 0.366 0.491 (multiplicity 4)
Au: 0.000 0.374 0.750 (multiplicity 2)
Au: 0.500 0.125 0.750 (multiplicity 2)
Au: 0.500 0.375 0.250 (multiplicity 2)
Cl: 0.000 0.122 0.250 (multiplicity 2)

=====

Starting from a crystal structure in Alexandria, relaxed with PBE, the powder XRD pattern of Rb6Au2Cl was computed for Cu Kα, 1.54184 Å.

Peak list (12 most intense, 2θ from 5° to 70°, most intense first)
23.4 deg, 3.803 Å, I 100, (1 1 3)
30.0 deg, 2.974 Å, I 85, (1 1 6)
36.3 deg, 2.472 Å, I 43, (3 0 0)
12.5 deg, 7.106 Å, I 41, (1 0 1)
10.7 deg, 8.271 Å, I 35, (0 0 3)
58.1 deg, 1.587 Å, I 29, (3 0 12)
38.9 deg, 2.318 Å, I 23, (2 -1 9)
47.8 deg, 1.901 Å, I 22, (4 -2 6)
21.5 deg, 4.125 Å, I 19, (0 1 5)
43.7 deg, 2.073 Å, I 17, (4 -2 3)
61.5 deg, 1.507 Å, I 16, (4 1 6)
13.9 deg, 6.366 Å, I 15, (0 1 2)

Structure:
Cell lengths 8.5640, 8.5640, 24.8125 Å; angles 90.00, 90.00, 120.00 degrees
Space group R-3 (No. 148, hexagonal axes)
Symmetry-distinct sites (fractional):
Rb: 0.0046 0.3104 0.0836 (multiplicity 18)
Au: 0.0000 0.0000 0.1787 (multiplicity 6)
Cl: 0.0000 0.0000 0.0000 (multiplicity 3)

=====

Starting from a crystal structure in Alexandria, relaxed with PBE, the powder XRD pattern of Rb6Au3Cl was computed for Cu Kα, 1.54184 Å.

Peak list (12 most intense, 2θ from 5° to 70°, most intense first)
24.4 deg, 3.652 Å, I 100, (2 1 -1)
26.2 deg, 3.407 Å, I 62, (1 1 -4)
20.5 deg, 4.335 Å, I 56, (1 1 -3)
28.8 deg, 3.096 Å, I 53, (0 0 4)
20.1 deg, 4.424 Å, I 46, (1 1 1)
30.8 deg, 2.901 Å, I 38, (1 3 -1)
37.2 deg, 2.415 Å, I 36, (3 1 -5)
28.9 deg, 3.085 Å, I 35, (0 2 3)
36.5 deg, 2.462 Å, I 27, (3 1 -1)
11.9 deg, 7.430 Å, I 27, (0 1 1)
34.8 deg, 2.577 Å, I 26, (0 2 4)
23.0 deg, 3.867 Å, I 25, (1 2 0)

Structure:
Cell lengths 8.306, 9.287, 14.725 Å; angles 90.00, 122.74, 90.00 degrees
Space group P2_1/c (No. 14)
Symmetry-distinct sites (fractional):
Rb: 0.097 0.186 0.432 (multiplicity 4)
Rb: 0.243 0.677 0.421 (multiplicity 4)
Rb: 0.392 0.057 0.242 (multiplicity 4)
Au: 0.191 0.104 0.738 (multiplicity 4)
Au: 0.500 0.000 0.500 (multiplicity 2)
Cl: 0.000 0.000 0.000 (multiplicity 2)

=====

Starting from a crystal structure in Alexandria, relaxed with PBE, the powder XRD pattern of Rb2ScAuCl6 was computed for Cu Kα, 1.54184 Å.

Peak list (12 most intense, 2θ from 5° to 70°, most intense first)
24.1 deg, 3.692 Å, I 100, (1 2 1)
32.0 deg, 2.801 Å, I 77, (2 0 2)
22.4 deg, 3.961 Å, I 61, (2 0 0)
40.4 deg, 2.231 Å, I 48, (3 2 1)
26.8 deg, 3.333 Å, I 42, (2 1 1)
49.4 deg, 1.846 Å, I 42, (2 4 2)
14.4 deg, 6.165 Å, I 40, (1 1 0)
36.6 deg, 2.454 Å, I 28, (0 4 0)
15.8 deg, 5.602 Å, I 25, (1 0 1)
45.8 deg, 1.981 Å, I 25, (4 0 0)
43.4 deg, 2.086 Å, I 22, (2 4 0)
60.0 deg, 1.541 Å, I 22, (4 4 0)

Structure:
Cell lengths 7.920, 9.816, 7.924 Å; angles 90.00, 90.00, 90.00 degrees
Space group Pmmn (No. 59, origin choice 2)
Symmetry-distinct sites (fractional):
Rb: 0.250 0.000 0.248 (multiplicity 4)
Sc: 0.250 0.250 0.750 (multiplicity 2)
Au: 0.250 0.750 0.749 (multiplicity 2)
Cl: 0.029 0.250 0.529 (multiplicity 4)
Cl: 0.029 0.250 0.970 (multiplicity 4)
Cl: 0.250 0.510 0.752 (multiplicity 4)

=====

Starting from a crystal structure in Alexandria, relaxed with PBE, the powder XRD pattern of ReAuCl was computed for Cu Kα, 1.54184 Å.

Peak list (12 most intense, 2θ from 5° to 70°, most intense first)
40.1 deg, 2.248 Å, I 100, (1 1 3)
11.5 deg, 7.687 Å, I 93, (0 0 2)
34.8 deg, 2.580 Å, I 40, (0 2 0)
35.0 deg, 2.562 Å, I 30, (0 0 6)
65.9 deg, 1.417 Å, I 23, (1 3 3)
50.2 deg, 1.818 Å, I 22, (0 2 6)
46.8 deg, 1.941 Å, I 22, (1 1 5)
36.4 deg, 2.469 Å, I 18, (1 1 1)
66.2 deg, 1.411 Å, I 17, (1 1 9)
23.1 deg, 3.844 Å, I 13, (0 0 4)
36.7 deg, 2.446 Å, I 13, (0 2 2)
47.3 deg, 1.922 Å, I 8, (0 0 8)

Structure:
Cell lengths 2.860, 5.160, 15.375 Å; angles 90.00, 90.00, 90.00 degrees
Space group Fmm2 (No. 42)
Symmetry-distinct sites (fractional):
Re: 0.000 0.000 0.000 (multiplicity 4)
Au: 0.000 0.000 0.343 (multiplicity 4)
Cl: 0.000 0.000 0.624 (multiplicity 4)